Simulated powder diffractogram
Compound: VCuN2
Radiation: copper Kα
Structure: a cell relaxed with PBE

The 10 most intense peaks (2θ = 10–90°), by angle:
2θ/deg, I/Imax
33.1, 54
33.6, 20
33.8, 59
37.3, 100
37.7, 58
48.0, 24
58.7, 17
59.7, 29
62.8, 31
70.4, 23

Structure:
```
VCuN2
1.0
5.341 0.000 0.000
0.000 6.287 0.000
0.000 0.000 5.301
V Cu N
4 4 8
Direct
0.082 0.118 0.000 V
0.418 0.618 0.500 V
0.582 0.382 0.000 V
0.918 0.882 0.500 V
0.096 0.635 0.030 Cu
0.404 0.135 0.530 Cu
0.596 0.865 0.030 Cu
0.904 0.365 0.530 Cu
0.066 0.111 0.350 N
0.085 0.637 0.409 N
0.415 0.137 0.909 N
0.434 0.611 0.850 N
0.566 0.389 0.350 N
0.585 0.863 0.409 N
0.915 0.363 0.909 N
0.934 0.889 0.850 N
```